Computed powder diffraction line list of PtN2Cl2 for a wavelength of 1.5418 Å, from the GGA-PBE geometry in the Materials Project.
Intensities are scaled so that the largest is 100.

The 6 most intense peaks (2θ = 5–70°), in order of rising 2θ:
hkl, 2theta, I_rel
1 0 0, 15.59, 88
0 1 -1, 15.84, 79
1 -1 1, 22.44, 100
-1 1 1, 25.60, 42
0 1 1, 25.86, 44
1 2 -2, 35.60, 36

Structural model:
Cell: 6.0140 6.1983 7.3240 Å, 114.33 102.71 97.42°
Element x y z (fractional)
Pt1 0.0000 0.0000 0.0000
Pt2 0.0000 0.5000 0.5000
N1 0.0040 0.2564 0.2439
N2 0.2696 0.7429 0.5152
N3 0.7304 0.2571 0.4848
N4 0.9960 0.7436 0.7561
Cl1 0.3027 0.7400 0.3024
Cl2 0.3197 0.2324 0.9689
Cl3 0.6803 0.7676 0.0311
Cl4 0.6973 0.2600 0.6976